The following is a computed powder diffraction line list of CsGaP3HO10. It was derived from the PBE geometry in the Materials Project, using Cu Kα (λ = 1.5418 Å).
Kinematic intensities with the Lorentz-polarization factor, no thermal factor.

Principal peaks in the range 2θ = 10–90°, sorted by position:
| d (Å) | intensity | (hkl) |
| --- | --- | --- |
| 5.803 | 73 | 1 0 -2 |
| 4.246 | 45 | 2 0 -2 |
| 4.002 | 32 | 2 0 0 |
| 3.811 | 100 | 1 1 -2 |
| 3.669 | 49 | 0 1 2 |
| 3.137 | 89 | 2 1 0 |
| 3.002 | 34 | 1 1 2 |
| 2.667 | 39 | 0 0 4 |
| 2.568 | 36 | 3 1 -2 |
| 1.928 | 31 | 1 0 -6 |

Structure:
Cell lengths 8.960, 5.055, 11.942 Å; angles 90.00, 116.72, 90.00 degrees
Space group P2/c (No. 13)
Unique sites:
Cs: 0.000 0.009 0.250
Ga: 0.500 0.000 0.000
P: 0.279 0.499 0.007
P: 0.500 0.241 0.250
H: 0.000 0.500 0.000
O: 0.090 0.446 0.953
O: 0.310 0.208 0.496
O: 0.355 0.313 0.946
O: 0.357 0.434 0.157
O: 0.424 0.087 0.320